Theoretical XRD peak list of Pa3Zn6Cu5 for Cu Kα X-rays, from the GGA-PBE geometry in Alexandria.

Structural model:
```
data_Pa3Zn6Cu5
_symmetry_space_group_name_H-M 'I m m m'
_symmetry_Int_Tables_number 71
_symmetry_space_group_name_Hall '-I 2 2'
_cell_length_a 4.3191
_cell_length_b 8.7483
_cell_length_c 12.4429
_cell_angle_alpha 90.00
_cell_angle_beta 90.00
_cell_angle_gamma 90.00
loop_
_atom_site_label
_atom_site_type_symbol
_atom_site_fract_x
_atom_site_fract_y
_atom_site_fract_z
_atom_site_occupancy
Pa1 Pa 0.0000 0.0000 0.0000 1
Pa2 Pa 0.0000 0.0000 0.2774 1
Zn1 Zn 0.0000 0.1712 0.5000 1
Zn2 Zn 0.0000 0.2908 0.1401 1
Cu1 Cu 0.0000 0.3588 0.3471 1
Cu2 Cu 0.0000 0.5000 0.0000 1
```

Top 10 peaks for 2θ from 10° to 80°, sorted by position:
2θ (°), I_rel
23.0, 49
35.4, 65
36.4, 100
37.1, 98
37.2, 67
40.0, 38
41.8, 67
55.9, 45
71.8, 31
73.3, 31

Theoretical XRD peak list of Pa2Zn12Cu5 for Cu Kα X-rays, from the GGA-PBE geometry in Alexandria.

Structural model:
```
data_Pa2Zn12Cu5
_symmetry_space_group_name_H-M 'R -3 m'
_symmetry_Int_Tables_number 166
_symmetry_space_group_name_Hall '-R 3 2"'
_cell_length_a 8.8403
_cell_length_b 8.8403
_cell_length_c 12.9214
_cell_angle_alpha 90.00
_cell_angle_beta 90.00
_cell_angle_gamma 120.00
loop_
_atom_site_label
_atom_site_type_symbol
_atom_site_fract_x
_atom_site_fract_y
_atom_site_fract_z
_atom_site_occupancy
Pa1 Pa 0.0000 0.0000 0.1581 1
Zn1 Zn 0.0000 0.2894 0.5000 1
Zn2 Zn 0.0012 0.5006 0.3490 1
Cu1 Cu 0.0000 0.0000 0.3924 1
Cu2 Cu 0.0000 0.5000 0.0000 1
```

Top 10 peaks for 2θ from 10° to 80°, sorted by position:
2θ (°), I_rel
28.9, 46
35.2, 46
36.4, 37
40.8, 66
41.1, 100
41.9, 55
59.4, 29
60.0, 32
67.2, 18
76.1, 19

Theoretical XRD peak list of Pa2Zn3Cu4 for Cu Kα X-rays, from the GGA-PBE geometry in Alexandria.

Structural model:
```
data_Pa2Zn3Cu4
_symmetry_space_group_name_H-M 'F m m m'
_symmetry_Int_Tables_number 69
_symmetry_space_group_name_Hall '-F 2 2'
_cell_length_a 5.0383
_cell_length_b 8.8636
_cell_length_c 13.4515
_cell_angle_alpha 90.00
_cell_angle_beta 90.00
_cell_angle_gamma 90.00
loop_
_atom_site_label
_atom_site_type_symbol
_atom_site_fract_x
_atom_site_fract_y
_atom_site_fract_z
_atom_site_occupancy
Pa1 Pa 0.0000 0.0000 0.1367 1
Zn1 Zn 0.0000 0.0000 0.5000 1
Zn2 Zn 0.2500 0.2500 0.0000 1
Cu1 Cu 0.0000 0.1662 0.3271 1
```

Top 10 peaks for 2θ from 10° to 80°, sorted by position:
2θ (°), I_rel
21.3, 21
28.5, 42
33.4, 29
35.6, 26
35.9, 29
39.3, 22
40.2, 20
40.7, 100
41.2, 23
45.0, 23

Theoretical XRD peak list of Zr2PaCu6 for Cu Kα X-rays, from the GGA-PBE geometry in Alexandria.

Structural model:
```
data_Zr2PaCu6
_symmetry_space_group_name_H-M 'I m m m'
_symmetry_Int_Tables_number 71
_symmetry_space_group_name_Hall '-I 2 2'
_cell_length_a 3.0100
_cell_length_b 7.5020
_cell_length_c 13.1013
_cell_angle_alpha 90.00
_cell_angle_beta 90.00
_cell_angle_gamma 90.00
loop_
_atom_site_label
_atom_site_type_symbol
_atom_site_fract_x
_atom_site_fract_y
_atom_site_fract_z
_atom_site_occupancy
Zr1 Zr 0.0000 0.0000 0.1484 1
Pa1 Pa 0.0000 0.5000 0.0000 1
Cu1 Cu 0.0000 0.1780 0.3264 1
Cu2 Cu 0.0000 0.3289 0.5000 1
```

Top 10 peaks for 2θ from 10° to 80°, sorted by position:
2θ (°), I_rel
13.6, 49
23.6, 31
34.9, 86
39.0, 90
41.3, 47
41.6, 100
42.5, 69
52.3, 26
63.6, 23
77.1, 31

Theoretical XRD peak list of CuPb7 for Cu Kα X-rays, from the GGA-PBE geometry in Alexandria.

Structural model:
```
data_CuPb7
_symmetry_space_group_name_H-M 'F m -3 m'
_symmetry_Int_Tables_number 225
_symmetry_space_group_name_Hall '-F 4 2 3'
_cell_length_a 9.8444
_cell_length_b 9.8444
_cell_length_c 9.8444
_cell_angle_alpha 90.00
_cell_angle_beta 90.00
_cell_angle_gamma 90.00
loop_
_atom_site_label
_atom_site_type_symbol
_atom_site_fract_x
_atom_site_fract_y
_atom_site_fract_z
_atom_site_occupancy
Cu1 Cu 0.0000 0.0000 0.0000 1
Pb1 Pb 0.0000 0.0000 0.5000 1
Pb2 Pb 0.0000 0.2500 0.2500 1
```

Top 10 peaks for 2θ from 10° to 80°, sorted by position:
2θ (°), I_rel
15.6, 4
18.0, 2
25.6, 2
30.1, 3
31.5, 100
36.5, 51
52.6, 36
62.6, 44
65.7, 13
77.6, 6

Theoretical XRD peak list of Cu7Pb for Cu Kα X-rays, from the GGA-PBE geometry in Alexandria.

Structural model:
```
data_Cu7Pb
_symmetry_space_group_name_H-M 'F m -3 m'
_symmetry_Int_Tables_number 225
_symmetry_space_group_name_Hall '-F 4 2 3'
_cell_length_a 7.6150
_cell_length_b 7.6150
_cell_length_c 7.6150
_cell_angle_alpha 90.00
_cell_angle_beta 90.00
_cell_angle_gamma 90.00
loop_
_atom_site_label
_atom_site_type_symbol
_atom_site_fract_x
_atom_site_fract_y
_atom_site_fract_z
_atom_site_occupancy
Cu1 Cu 0.0000 0.0000 0.0000 1
Cu2 Cu 0.0000 0.2500 0.2500 1
Pb1 Pb 0.0000 0.0000 0.5000 1
```

Top 10 peaks for 2θ from 10° to 80°, sorted by position:
2θ (°), I_rel
20.2, 22
23.4, 12
33.3, 10
39.2, 13
41.1, 100
47.8, 48
52.4, 6
53.8, 6
69.9, 29
73.6, 5

Theoretical XRD peak list of Cu5Pb for Cu Kα X-rays, from the GGA-PBE geometry in Alexandria.

Structural model:
```
data_Cu5Pb
_symmetry_space_group_name_H-M 'C 1 2/m 1'
_symmetry_Int_Tables_number 12
_symmetry_space_group_name_Hall '-C 2y'
_cell_length_a 8.6208
_cell_length_b 3.4890
_cell_length_c 6.1873
_cell_angle_alpha 90.00
_cell_angle_beta 108.59
_cell_angle_gamma 90.00
loop_
_atom_site_label
_atom_site_type_symbol
_atom_site_fract_x
_atom_site_fract_y
_atom_site_fract_z
_atom_site_occupancy
Cu1 Cu 0.0000 0.0000 0.0000 1
Cu2 Cu 0.1651 0.5000 0.2807 1
Cu3 Cu 0.1695 0.5000 0.8662 1
Pb1 Pb 0.0000 0.0000 0.5000 1
```

Top 10 peaks for 2θ from 10° to 80°, sorted by position:
2θ (°), I_rel
27.8, 17
30.0, 28
30.4, 21
38.9, 100
42.1, 92
43.3, 36
45.3, 33
52.5, 24
70.3, 16
71.8, 16

Theoretical XRD peak list of Cu2Pb3 for Cu Kα X-rays, from the GGA-PBE geometry in Alexandria.

Structural model:
```
data_Cu2Pb3
_symmetry_space_group_name_H-M 'P -3 m 1'
_symmetry_Int_Tables_number 164
_symmetry_space_group_name_Hall '-P 3 2"'
_cell_length_a 4.6387
_cell_length_b 4.6387
_cell_length_c 6.5676
_cell_angle_alpha 90.00
_cell_angle_beta 90.00
_cell_angle_gamma 120.00
loop_
_atom_site_label
_atom_site_type_symbol
_atom_site_fract_x
_atom_site_fract_y
_atom_site_fract_z
_atom_site_occupancy
Cu1 Cu 0.3333 0.6667 0.3058 1
Pb1 Pb 0.0000 0.0000 0.5000 1
Pb2 Pb 0.3333 0.6667 0.8381 1
```

Top 10 peaks for 2θ from 10° to 80°, sorted by position:
2θ (°), I_rel
26.0, 92
35.3, 100
38.8, 79
47.3, 21
53.5, 31
57.9, 22
61.0, 20
62.8, 18
68.0, 30
70.3, 14

Theoretical XRD peak list of Cu3Pd8Pb2 for Cu Kα X-rays, from the GGA-PBE geometry in Alexandria.

Structural model:
```
data_Cu3Pd8Pb2
_symmetry_space_group_name_H-M 'C 1 2/m 1'
_symmetry_Int_Tables_number 12
_symmetry_space_group_name_Hall '-C 2y'
_cell_length_a 11.7388
_cell_length_b 8.9478
_cell_length_c 4.3511
_cell_angle_alpha 90.00
_cell_angle_beta 101.15
_cell_angle_gamma 90.00
loop_
_atom_site_label
_atom_site_type_symbol
_atom_site_fract_x
_atom_site_fract_y
_atom_site_fract_z
_atom_site_occupancy
Cu1 Cu 0.0000 0.0000 0.0000 1
Cu2 Cu 0.0000 0.2395 0.5000 1
Pd1 Pd 0.0680 0.5000 0.2894 1
Pd2 Pd 0.1286 0.2340 0.0550 1
Pd3 Pd 0.1330 0.0000 0.5689 1
Pb1 Pb 0.2129 0.5000 0.8453 1
```

Top 10 peaks for 2θ from 10° to 80°, sorted by position:
2θ (°), I_rel
19.8, 16
25.2, 14
35.8, 46
39.7, 100
40.3, 47
42.8, 35
46.2, 34
56.9, 15
72.9, 15
74.8, 14

Theoretical XRD peak list of CuPd6Pb for Cu Kα X-rays, from the GGA-PBE geometry in Alexandria.

Structural model:
```
data_CuPd6Pb
_symmetry_space_group_name_H-M 'P 4/m m m'
_symmetry_Int_Tables_number 123
_symmetry_space_group_name_Hall '-P 4 2'
_cell_length_a 4.0180
_cell_length_b 4.0180
_cell_length_c 7.9689
_cell_angle_alpha 90.00
_cell_angle_beta 90.00
_cell_angle_gamma 90.00
loop_
_atom_site_label
_atom_site_type_symbol
_atom_site_fract_x
_atom_site_fract_y
_atom_site_fract_z
_atom_site_occupancy
Cu1 Cu 0.0000 0.0000 0.0000 1
Pd1 Pd 0.0000 0.5000 0.2343 1
Pd2 Pd 0.5000 0.5000 0.0000 1
Pd3 Pd 0.5000 0.5000 0.5000 1
Pb1 Pb 0.0000 0.0000 0.5000 1
```

Top 10 peaks for 2θ from 10° to 80°, sorted by position:
2θ (°), I_rel
11.1, 4
24.8, 7
33.5, 6
38.9, 100
45.1, 33
45.5, 15
65.7, 11
66.0, 20
79.1, 25
79.7, 10

Theoretical XRD peak list of Sr2Cu2Pd5Pb for Cu Kα X-rays, from the GGA-PBE geometry in Alexandria.

Structural model:
```
data_Sr2Cu2Pd5Pb
_symmetry_space_group_name_H-M 'P 4/m b m'
_symmetry_Int_Tables_number 127
_symmetry_space_group_name_Hall '-P 4 2ab'
_cell_length_a 9.9117
_cell_length_b 9.9117
_cell_length_c 3.9382
_cell_angle_alpha 90.00
_cell_angle_beta 90.00
_cell_angle_gamma 90.00
loop_
_atom_site_label
_atom_site_type_symbol
_atom_site_fract_x
_atom_site_fract_y
_atom_site_fract_z
_atom_site_occupancy
Sr1 Sr 0.1766 0.3234 0.0000 1
Cu1 Cu 0.1198 0.6198 0.0000 1
Pd1 Pd 0.0000 0.5000 0.5000 1
Pd2 Pd 0.0661 0.7852 0.5000 1
Pb1 Pb 0.0000 0.0000 0.0000 1
```

Top 10 peaks for 2θ from 10° to 80°, sorted by position:
2θ (°), I_rel
17.9, 12
34.3, 34
36.6, 100
37.4, 29
40.0, 30
40.7, 23
46.1, 23
60.8, 22
63.2, 13
71.4, 13

Theoretical XRD peak list of ZrCuPdPb for Cu Kα X-rays, from the GGA-PBE geometry in Alexandria.

Structural model:
```
data_ZrCuPdPb
_symmetry_space_group_name_H-M 'F -4 3 m'
_symmetry_Int_Tables_number 216
_symmetry_space_group_name_Hall 'F -4 2 3'
_cell_length_a 6.6777
_cell_length_b 6.6777
_cell_length_c 6.6777
_cell_angle_alpha 90.00
_cell_angle_beta 90.00
_cell_angle_gamma 90.00
loop_
_atom_site_label
_atom_site_type_symbol
_atom_site_fract_x
_atom_site_fract_y
_atom_site_fract_z
_atom_site_occupancy
Zr1 Zr 0.0000 0.0000 0.0000 1
Cu1 Cu 0.2500 0.2500 0.2500 1
Pd1 Pd 0.2500 0.2500 0.7500 1
Pb1 Pb 0.0000 0.0000 0.5000 1
```

Top 10 peaks for 2θ from 10° to 80°, sorted by position:
2θ (°), I_rel
23.1, 14
26.7, 8
38.1, 100
45.0, 8
47.1, 2
55.0, 17
60.4, 4
62.2, 3
68.9, 34
73.7, 3